Structure and computed powder X-ray diffraction pattern of GeH4NCl3 (a DFT-relaxed cell (PBE, Alexandria); Cu Kα, 1.54184 Å).
No peak broadening, texture or thermal motion is included.

```
18
Lattice="5.6341 0.0000 0.0000 0.4653 7.3353 0.0000 1.1310 0.1076 8.4860" Properties=species:S:1:pos:R:3 pbc="T T T"
Ge 0.0000 0.0000 0.0000
Ge 0.9072 3.5727 4.3315
H 2.3182 3.2856 0.6087
H 3.0968 0.3392 4.8384
H 3.2032 3.9884 1.8531
H 3.0554 4.8055 0.3687
H 4.5183 6.3767 5.3689
H 4.6367 6.8663 3.7624
H 4.0175 3.3989 0.5107
H 4.7939 0.4931 4.9906
N 3.1483 3.8707 0.8176
N 4.4750 7.1907 4.7355
Cl 0.3201 2.1307 1.0536
Cl 1.1364 1.4120 5.4049
Cl 3.9193 7.0304 8.1730
Cl 3.2675 3.8600 4.0582
Cl 6.3521 4.8195 6.3003
Cl 5.9171 6.0534 2.0146
```

Largest 10 diffraction maxima, sorted by position, 2θ = 10–90°:
d/Å  I/Imax
5.579  100
5.515  42
4.240  55
4.000  13
3.663  20
2.789  48
2.758  23
2.651  12
2.639  16
2.628  14